[1]
This entry pairs a crystal structure of CePmPrCo with its simulated powder XRD pattern. Radiation: Cu Kα. Structure: a crystal structure in Alexandria, relaxed with GGA-PBE.
Intensities are scaled so that the largest is 100.

Top 10 peaks for 15 to 90 degrees two-theta, in order of falling intensity:
33.69 deg, rel. 100
27.65 deg, rel. 48
29.27 deg, rel. 38
40.10 deg, rel. 33
28.47 deg, rel. 30
48.88 deg, rel. 24
57.54 deg, rel. 21
56.64 deg, rel. 19
47.87 deg, rel. 15
48.95 deg, rel. 12

Structure:
```
CePmPrCo
1.0
3.7216 0.0000 0.0000
1.8558 3.2289 0.0000
0.0091 0.0022 9.4067
Ce Pm Pr Co
1 1 1 1
Direct
0.0000 0.0000 0.0000
0.0009 0.0024 0.3643
0.3341 0.3381 0.6838
0.3347 0.3360 0.1546
```

[2]
This entry pairs a crystal structure of Mo5Ru2Rh4 with its simulated powder XRD pattern. Radiation: Cu Kα. Structure: a crystal structure in Alexandria, relaxed with GGA-PBE.
Intensities are scaled so that the largest is 100.

Top 10 peaks for 15 to 90 degrees two-theta, in order of falling intensity:
44.14 deg, rel. 100
43.29 deg, rel. 91
40.57 deg, rel. 72
39.70 deg, rel. 71
38.94 deg, rel. 31
33.96 deg, rel. 25
57.50 deg, rel. 19
83.50 deg, rel. 19
76.30 deg, rel. 19
38.44 deg, rel. 19

Structure:
```
Mo5Ru2Rh4
1.0
4.7351 0.0000 0.0000
0.0000 15.9014 0.0000
0.0000 0.0000 4.4473
Mo Ru Rh
10 4 8
Direct
0.0000 0.0000 0.0000
0.0563 0.2023 0.0000
0.0558 0.3858 0.0000
0.4437 0.7023 0.0000
0.4442 0.8858 0.0000
0.5000 0.5000 0.0000
0.5558 0.1142 0.0000
0.5563 0.2977 0.0000
0.9442 0.6142 0.0000
0.9437 0.7977 0.0000
0.2126 0.2929 0.5000
0.2874 0.7929 0.5000
0.7126 0.2071 0.5000
0.7874 0.7071 0.5000
0.2171 0.1215 0.5000
0.2241 0.4584 0.5000
0.2759 0.9584 0.5000
0.2829 0.6215 0.5000
0.7171 0.3785 0.5000
0.7241 0.0416 0.5000
0.7759 0.5416 0.5000
0.7829 0.8785 0.5000
```

[3]
This entry pairs a crystal structure of CsBa2ScF8 with its simulated powder XRD pattern. Radiation: Cu Kα. Structure: a crystal structure in Alexandria, relaxed with GGA-PBE.
Intensities are scaled so that the largest is 100.

Top 10 peaks for 15 to 90 degrees two-theta, in order of falling intensity:
25.86 deg, rel. 100
22.49 deg, rel. 68
26.35 deg, rel. 57
39.89 deg, rel. 52
28.33 deg, rel. 49
44.64 deg, rel. 31
38.66 deg, rel. 25
44.88 deg, rel. 24
48.37 deg, rel. 18
42.24 deg, rel. 17

Structure:
```
CsBa2ScF8
1.0
4.7176 0.0000 0.0000
0.0000 8.5588 0.0000
-0.9326 0.0000 5.8090
Cs Ba Sc F
1 2 1 8
Direct
0.0000 0.0000 0.0000
0.5000 0.2592 0.5000
0.5000 0.7408 0.5000
0.0000 0.5000 0.0000
0.0656 0.3229 0.7721
0.0656 0.6771 0.7721
0.3942 0.5000 0.2045
0.4313 0.0000 0.7137
0.5687 0.0000 0.2863
0.6058 0.5000 0.7955
0.9344 0.3229 0.2279
0.9344 0.6771 0.2279
```

[4]
This entry pairs a crystal structure of Ba2Ca2Tl2Sn3O10 with its simulated powder XRD pattern. Radiation: Cu Kα. Structure: a crystal structure in Alexandria, relaxed with GGA-PBE.
Intensities are scaled so that the largest is 100.

Top 10 peaks for 15 to 90 degrees two-theta, in order of falling intensity:
31.45 deg, rel. 100
29.23 deg, rel. 81
26.26 deg, rel. 34
28.79 deg, rel. 25
43.76 deg, rel. 25
32.05 deg, rel. 25
53.25 deg, rel. 19
35.17 deg, rel. 19
54.89 deg, rel. 16
65.67 deg, rel. 15

Structure:
```
Ba2Ca2Tl2Sn3O10
1.0
20.3876 -2.0685 0.0000
20.3876 2.0685 0.0000
-0.0349 0.0000 3.9332
Ba Ca Tl Sn O
2 2 2 3 10
Direct
0.0000 0.0000 0.0000
0.6676 0.6676 0.9450
0.7872 0.7872 0.9660
0.8833 0.8833 0.9757
0.1028 0.1028 0.2208
0.5642 0.5642 0.7426
0.2347 0.2347 0.4603
0.3421 0.3421 0.4718
0.4296 0.4296 0.4800
0.0452 0.0452 0.4531
0.1859 0.1859 0.4584
0.2511 0.2511 0.9622
0.3211 0.3211 0.9698
0.4127 0.4127 0.9782
0.4781 0.4781 0.4811
0.6201 0.6201 0.5134
0.7486 0.7486 0.4627
0.8255 0.8255 0.4700
0.9162 0.9162 0.4783
```

[5]
This entry pairs a crystal structure of ErTm3Sc5 with its simulated powder XRD pattern. Radiation: Cu Kα. Structure: a crystal structure in Alexandria, relaxed with GGA-PBE.
Intensities are scaled so that the largest is 100.

Top 10 peaks for 15 to 90 degrees two-theta, in order of falling intensity:
33.37 deg, rel. 100
30.70 deg, rel. 74
45.54 deg, rel. 60
30.44 deg, rel. 54
25.30 deg, rel. 47
24.89 deg, rel. 40
39.65 deg, rel. 38
24.79 deg, rel. 37
21.40 deg, rel. 31
33.05 deg, rel. 30

Structure:
```
ErTm3Sc5
1.0
-4.1524 4.1524 7.0419
4.1524 -4.1524 7.0419
4.1524 4.1524 -7.0419
Er Tm Sc
2 6 10
Direct
0.2500 0.7500 0.5000
0.7500 0.2500 0.5000
0.1183 0.6183 0.7366
0.2500 0.2500 0.0000
0.3817 0.1183 0.5000
0.6183 0.8817 0.5000
0.7500 0.7500 0.0000
0.8817 0.3817 0.2634
0.0000 0.0000 0.0000
0.0707 0.1607 0.5000
0.1607 0.6607 0.0900
0.3393 0.4293 0.5000
0.4293 0.9293 0.0900
0.5000 0.5000 0.0000
0.5707 0.0707 0.9100
0.6607 0.5707 0.5000
0.8393 0.3393 0.9100
0.9293 0.8393 0.5000
```